Entry 1:
Starting from a DFT-relaxed cell (GGA-PBE, Alexandria), the PXRD pattern of ErLu2Br was computed for Cu Kα (weighted mean of Kα1 and Kα2).

The 12 most intense peaks (10 to 90 degrees two-theta), sorted by position:
| d [Å] | I_rel |
| --- | --- |
| 2.872 | 100 |
| 2.761 | 6 |
| 2.506 | 20 |
| 2.395 | 58 |
| 1.794 | 26 |
| 1.608 | 14 |
| 1.522 | 15 |
| 1.459 | 23 |
| 1.436 | 12 |
| 1.353 | 7 |
| 1.161 | 12 |
| 1.121 | 13 |

Crystal structure
Cell: 10.2355 10.2355 10.2355 Å, 20.19 20.19 20.19°
Fractional positions:
Er1 0.0000 0.0000 0.0000
Lu1 0.2436 0.2436 0.2436
Lu2 0.7564 0.7564 0.7564
Br1 0.5000 0.5000 0.5000

Entry 2:
Starting from a DFT-relaxed cell (GGA-PBE, Alexandria), the PXRD pattern of Pm3UO8 was computed for Cu Kα (weighted mean of Kα1 and Kα2).

The 12 most intense peaks (10 to 90 degrees two-theta), sorted by position:
| d [Å] | I_rel |
| --- | --- |
| 5.488 | 5 |
| 3.880 | 3 |
| 3.168 | 100 |
| 2.744 | 33 |
| 2.240 | 2 |
| 1.940 | 52 |
| 1.655 | 46 |
| 1.584 | 10 |
| 1.372 | 8 |
| 1.259 | 19 |
| 1.227 | 13 |
| 1.120 | 17 |

Crystal structure
Cell: 5.4877 5.4877 5.4877 Å, 90.00 90.00 90.00°
Fractional positions:
Pm1 0.0000 0.0000 0.5000
Pm2 0.0000 0.5000 0.0000
Pm3 0.5000 0.0000 0.0000
U1 0.5000 0.5000 0.5000
O1 0.2643 0.2643 0.2643
O2 0.2643 0.2643 0.7357
O3 0.2643 0.7357 0.2643
O4 0.2643 0.7357 0.7357
O5 0.7357 0.2643 0.2643
O6 0.7357 0.2643 0.7357
O7 0.7357 0.7357 0.2643
O8 0.7357 0.7357 0.7357

- What is the formula in the first record?
  ErLu2Br

- Number 1 is which compound?
  ErLu2Br